The following is a calculated XRD peak list of LiVP2O7. It was derived from a structure optimized by DFT (PBE+U), using Cu Kα (λ = 1.5418 Å).
Intensities are scaled so that the largest is 100.

Atomic structure:
abc: 7.042 8.483 9.271
angles: 90.00 112.39 90.00
Space group P2_1/c (No. 14)
One atom of each set of equivalent atoms:
1 Li 0.198 0.071 0.097 [4 per cell]
2 V 0.305 0.071 0.689 [4 per cell]
3 P 0.067 0.737 0.740 [4 per cell]
4 P 0.475 0.715 0.033 [4 per cell]
5 O 0.044 0.610 0.623 [4 per cell]
6 O 0.117 0.248 0.709 [4 per cell]
7 O 0.121 0.600 0.194 [4 per cell]
8 O 0.252 0.690 0.904 [4 per cell]
9 O 0.368 0.216 0.547 [4 per cell]
10 O 0.480 0.619 0.608 [4 per cell]
11 O 0.493 0.085 0.348 [4 per cell]

Principal peaks in the range 10 to 90 degrees two-theta, sorted by position:
20.94°, rel. 32, hkl 0 2 0; 22.62°, rel. 68, hkl 1 1 1; 23.40°, rel. 27, hkl 0 2 1; 27.41°, rel. 27, hkl 2 0 0; 28.98°, rel. 71, hkl 1 0 2; 29.12°, rel. 100, hkl 1 2 -2; 29.37°, rel. 92, hkl 2 1 -2; 42.32°, rel. 26, hkl 2 3 -2